For CaTlAsI6, DFT lattice parameters and positions (GGA-PBE) gives the computed PXRD pattern in this record (Cu Ka).

Main lines, by angle (2θ from 10° to 80°):
d 5.041, intensity 47.2; d 3.465, intensity 100.0; d 3.373, intensity 11.9; d 2.717, intensity 62.7; d 2.417, intensity 24.5; d 2.249, intensity 35.5; d 2.121, intensity 20.4; d 1.886, intensity 12.5; d 1.733, intensity 13.6; d 1.450, intensity 13.5

Structure:
abc: 7.7902 7.7902 7.5860
angles: 90.00 90.00 120.00
Space group P312 (No. 149)
One atom of each set of equivalent atoms:
Ca (0.0000, 0.0000, 0.0000) x1
Tl (0.6667, 0.3333, 0.5000) x1
As (0.3333, 0.6667, 0.0000) x1
I (0.0427, 0.3568, 0.2259) x6